Record 1
Diffraction record for Mg8Al4Cu2Si7. The powder X-ray diffraction pattern is calculated, not measured: it uses a structure optimized by DFT (GGA-PBE) and Cu Kα (weighted mean of Kα1 and Kα2).
Peak positions follow from Bragg's law for the DFT cell and can differ from measured ones.

Structural model:
```
data_Mg8Al4Cu2Si7
_chemical_formula_sum 'Mg8 Al4 Cu2 Si7'
_symmetry_space_group_name_H-M 'P 1'
_symmetry_Int_Tables_number 1
_cell_length_a 10.409
_cell_length_b 3.962
_cell_length_c 10.513
_cell_angle_alpha 90.00
_cell_angle_beta 119.64
_cell_angle_gamma 90.00
loop_
_symmetry_equiv_pos_as_xyz
'x,y,z'
loop_
_atom_site_label
_atom_site_type_symbol
_atom_site_fract_x
_atom_site_fract_y
_atom_site_fract_z
Mg1 Mg 0.000 0.000 0.000
Mg2 Mg 0.011 0.500 0.550
Mg3 Mg 0.141 0.500 0.266
Mg4 Mg 0.202 0.500 0.947
Mg5 Mg 0.253 0.000 0.747
Mg6 Mg 0.384 0.500 0.603
Mg7 Mg 0.485 0.500 0.366
Mg8 Mg 0.797 0.500 0.747
Al1 Al 0.487 0.000 0.077
Al2 Al 0.652 0.000 0.887
Al3 Al 0.758 0.000 0.504
Al4 Al 0.860 0.000 0.248
Cu1 Cu 0.336 0.000 0.409
Cu2 Cu 0.668 0.500 0.102
Si1 Si 0.133 0.000 0.454
Si2 Si 0.298 0.000 0.166
Si3 Si 0.440 0.500 0.886
Si4 Si 0.583 0.000 0.609
Si5 Si 0.727 0.500 0.343
Si6 Si 0.854 0.500 0.039
Si7 Si 0.996 0.000 0.746
```

Top 10 peaks for 2θ from 10° to 90°, by intensity:
d_spacing	I/Imax
2.598	100
1.980	72
2.584	53
3.631	39
5.257	33
1.970	26
2.134	24
1.993	23
1.964	21
2.399	19

***

Record 2
Diffraction record for Ho3Ru. The powder X-ray diffraction pattern is calculated, not measured: it uses a structure optimized by DFT (GGA-PBE) and Cu Kα (weighted mean of Kα1 and Kα2).
Peak positions follow from Bragg's law for the DFT cell and can differ from measured ones.

Structural model:
```
data_Ho3Ru
_chemical_formula_sum 'Ho12 Ru4'
_symmetry_space_group_name_H-M 'P 1'
_symmetry_Int_Tables_number 1
_cell_length_a 8.736
_cell_length_b 8.736
_cell_length_c 8.736
_cell_angle_alpha 96.95
_cell_angle_beta 96.95
_cell_angle_gamma 139.30
loop_
_symmetry_equiv_pos_as_xyz
'x,y,z'
loop_
_atom_site_label
_atom_site_type_symbol
_atom_site_fract_x
_atom_site_fract_y
_atom_site_fract_z
Ho1 Ho 0.000 0.358 0.358
Ho2 Ho 0.000 0.642 0.642
Ho3 Ho 0.093 0.093 0.594
Ho4 Ho 0.165 0.357 0.000
Ho5 Ho 0.357 0.165 0.000
Ho6 Ho 0.358 0.000 0.358
Ho7 Ho 0.499 0.499 0.406
Ho8 Ho 0.501 0.907 0.000
Ho9 Ho 0.642 0.000 0.642
Ho10 Ho 0.643 0.643 0.808
Ho11 Ho 0.835 0.835 0.192
Ho12 Ho 0.907 0.501 0.000
Ru1 Ru 0.212 0.500 0.712
Ru2 Ru 0.500 0.212 0.712
Ru3 Ru 0.500 0.788 0.288
Ru4 Ru 0.788 0.500 0.288
```

Top 10 peaks for 2θ from 10° to 90°, by intensity:
d_spacing	I/Imax
2.844	100
2.550	58
2.730	30
2.440	25
2.590	21
1.713	16
2.029	13
1.817	13
1.442	13
1.643	12

***

Record 3
Diffraction record for MnCrFe14. The powder X-ray diffraction pattern is calculated, not measured: it uses a structure optimized by DFT (GGA-PBE) and Cu Kα (weighted mean of Kα1 and Kα2).
Peak positions follow from Bragg's law for the DFT cell and can differ from measured ones.

Structural model:
```
data_MnCrFe14
_chemical_formula_sum 'Mn1 Cr1 Fe14'
_symmetry_space_group_name_H-M 'P 1'
_symmetry_Int_Tables_number 1
_cell_length_a 4.919
_cell_length_b 4.919
_cell_length_c 8.023
_cell_angle_alpha 90.00
_cell_angle_beta 90.00
_cell_angle_gamma 109.55
loop_
_symmetry_equiv_pos_as_xyz
'x,y,z'
loop_
_atom_site_label
_atom_site_type_symbol
_atom_site_fract_x
_atom_site_fract_y
_atom_site_fract_z
Mn1 Mn 0.000 0.000 0.000
Cr1 Cr 0.500 0.500 0.000
Fe1 Fe 0.000 0.000 0.500
Fe2 Fe 0.000 0.500 0.000
Fe3 Fe 0.000 0.500 0.500
Fe4 Fe 0.249 0.249 0.249
Fe5 Fe 0.249 0.249 0.751
Fe6 Fe 0.249 0.751 0.250
Fe7 Fe 0.249 0.751 0.750
Fe8 Fe 0.500 0.000 0.000
Fe9 Fe 0.500 0.000 0.500
Fe10 Fe 0.500 0.500 0.500
Fe11 Fe 0.751 0.249 0.250
Fe12 Fe 0.751 0.249 0.750
Fe13 Fe 0.751 0.751 0.249
Fe14 Fe 0.751 0.751 0.751
```

Top 4 peaks for 2θ from 10° to 90°, by intensity:
d_spacing	I/Imax
2.007	100
1.419	15
1.159	14
1.158	14

***

Record 4
Diffraction record for GePtAuO. The powder X-ray diffraction pattern is calculated, not measured: it uses a structure optimized by DFT (GGA-PBE) and Cu Kα (weighted mean of Kα1 and Kα2).
Peak positions follow from Bragg's law for the DFT cell and can differ from measured ones.

Structural model:
```
data_GePtAuO
_chemical_formula_sum 'Ge2 Pt2 Au2 O2'
_symmetry_space_group_name_H-M 'P 1'
_symmetry_Int_Tables_number 1
_cell_length_a 14.087
_cell_length_b 2.796
_cell_length_c 3.337
_cell_angle_alpha 90.00
_cell_angle_beta 90.13
_cell_angle_gamma 90.00
loop_
_symmetry_equiv_pos_as_xyz
'x,y,z'
loop_
_atom_site_label
_atom_site_type_symbol
_atom_site_fract_x
_atom_site_fract_y
_atom_site_fract_z
Ge1 Ge 0.000 0.000 0.000
Ge2 Ge 0.500 0.500 0.000
Pt1 Pt 0.399 0.000 0.499
Pt2 Pt 0.899 0.500 0.499
Au1 Au 0.257 0.500 0.996
Au2 Au 0.757 0.000 0.996
O1 O 0.088 0.500 0.001
O2 O 0.588 0.000 0.001
```

Top 10 peaks for 2θ from 10° to 90°, by intensity:
d_spacing	I/Imax
7.043	100
2.119	87
2.422	84
2.402	59
3.016	47
1.985	35
1.371	24
1.211	19
2.348	16
1.669	16

***

Record 5
Diffraction record for Pm2Sc3Pd4. The powder X-ray diffraction pattern is calculated, not measured: it uses a structure optimized by DFT (GGA-PBE) and Cu Kα (weighted mean of Kα1 and Kα2).
Peak positions follow from Bragg's law for the DFT cell and can differ from measured ones.

Structural model:
```
data_Pm2Sc3Pd4
_chemical_formula_sum 'Pm4 Sc6 Pd8'
_symmetry_space_group_name_H-M 'P 1'
_symmetry_Int_Tables_number 1
_cell_length_a 9.010
_cell_length_b 9.010
_cell_length_c 7.306
_cell_angle_alpha 90.00
_cell_angle_beta 90.00
_cell_angle_gamma 138.59
loop_
_symmetry_equiv_pos_as_xyz
'x,y,z'
loop_
_atom_site_label
_atom_site_type_symbol
_atom_site_fract_x
_atom_site_fract_y
_atom_site_fract_z
Pm1 Pm 0.099 0.901 0.914
Pm2 Pm 0.401 0.599 0.414
Pm3 Pm 0.599 0.401 0.586
Pm4 Pm 0.901 0.099 0.086
Sc1 Sc 0.000 0.000 0.500
Sc2 Sc 0.018 0.482 0.750
Sc3 Sc 0.482 0.018 0.250
Sc4 Sc 0.500 0.500 0.000
Sc5 Sc 0.518 0.982 0.750
Sc6 Sc 0.982 0.518 0.250
Pd1 Pd 0.170 0.830 0.528
Pd2 Pd 0.182 0.318 0.750
Pd3 Pd 0.318 0.182 0.250
Pd4 Pd 0.330 0.670 0.028
Pd5 Pd 0.670 0.330 0.972
Pd6 Pd 0.682 0.818 0.750
Pd7 Pd 0.818 0.682 0.250
Pd8 Pd 0.830 0.170 0.472
```

Top 10 peaks for 2θ from 10° to 90°, by intensity:
d_spacing	I/Imax
2.759	100
2.401	51
2.340	24
1.745	24
1.380	22
1.593	17
2.108	11
2.541	11
2.227	10
3.650	9

***

Record 6
Diffraction record for Tm5ScTe4. The powder X-ray diffraction pattern is calculated, not measured: it uses a structure optimized by DFT (GGA-PBE) and Cu Kα (weighted mean of Kα1 and Kα2).
Peak positions follow from Bragg's law for the DFT cell and can differ from measured ones.

Structural model:
```
data_Tm5ScTe4
_chemical_formula_sum 'Tm10 Sc2 Te8'
_symmetry_space_group_name_H-M 'P 1'
_symmetry_Int_Tables_number 1
_cell_length_a 9.070
_cell_length_b 9.361
_cell_length_c 7.344
_cell_angle_alpha 90.00
_cell_angle_beta 90.00
_cell_angle_gamma 90.00
loop_
_symmetry_equiv_pos_as_xyz
'x,y,z'
loop_
_atom_site_label
_atom_site_type_symbol
_atom_site_fract_x
_atom_site_fract_y
_atom_site_fract_z
Tm1 Tm 0.062 0.063 0.233
Tm2 Tm 0.062 0.437 0.233
Tm3 Tm 0.250 0.750 0.219
Tm4 Tm 0.438 0.063 0.233
Tm5 Tm 0.438 0.437 0.233
Tm6 Tm 0.562 0.563 0.767
Tm7 Tm 0.562 0.937 0.767
Tm8 Tm 0.750 0.250 0.781
Tm9 Tm 0.938 0.563 0.767
Tm10 Tm 0.938 0.937 0.767
Sc1 Sc 0.250 0.250 0.873
Sc2 Sc 0.750 0.750 0.127
Te1 Te 0.029 0.250 0.571
Te2 Te 0.250 0.549 0.904
Te3 Te 0.250 0.951 0.904
Te4 Te 0.471 0.250 0.571
Te5 Te 0.529 0.750 0.429
Te6 Te 0.750 0.049 0.096
Te7 Te 0.750 0.451 0.096
Te8 Te 0.971 0.750 0.429
```

Top 10 peaks for 2θ from 10° to 90°, by intensity:
d_spacing	I/Imax
2.873	100
2.400	48
2.437	46
3.859	28
2.364	24
3.947	23
3.672	22
2.796	21
2.099	20
5.708	18

***

Copy entry 3 word for word.
Diffraction record for MnCrFe14. The powder X-ray diffraction pattern is calculated, not measured: it uses a structure optimized by DFT (GGA-PBE) and Cu Kα (weighted mean of Kα1 and Kα2).
Peak positions follow from Bragg's law for the DFT cell and can differ from measured ones.

Structural model:
```
data_MnCrFe14
_chemical_formula_sum 'Mn1 Cr1 Fe14'
_symmetry_space_group_name_H-M 'P 1'
_symmetry_Int_Tables_number 1
_cell_length_a 4.919
_cell_length_b 4.919
_cell_length_c 8.023
_cell_angle_alpha 90.00
_cell_angle_beta 90.00
_cell_angle_gamma 109.55
loop_
_symmetry_equiv_pos_as_xyz
'x,y,z'
loop_
_atom_site_label
_atom_site_type_symbol
_atom_site_fract_x
_atom_site_fract_y
_atom_site_fract_z
Mn1 Mn 0.000 0.000 0.000
Cr1 Cr 0.500 0.500 0.000
Fe1 Fe 0.000 0.000 0.500
Fe2 Fe 0.000 0.500 0.000
Fe3 Fe 0.000 0.500 0.500
Fe4 Fe 0.249 0.249 0.249
Fe5 Fe 0.249 0.249 0.751
Fe6 Fe 0.249 0.751 0.250
Fe7 Fe 0.249 0.751 0.750
Fe8 Fe 0.500 0.000 0.000
Fe9 Fe 0.500 0.000 0.500
Fe10 Fe 0.500 0.500 0.500
Fe11 Fe 0.751 0.249 0.250
Fe12 Fe 0.751 0.249 0.750
Fe13 Fe 0.751 0.751 0.249
Fe14 Fe 0.751 0.751 0.751
```

Top 4 peaks for 2θ from 10° to 90°, by intensity:
d_spacing	I/Imax
2.007	100
1.419	15
1.159	14
1.158	14